The following is a theoretical powder diffractogram of Tm2Al3Ga3. It was derived from DFT lattice parameters and positions (GGA-PBE), using λ = 1.5418 Å (Cu Kα).
Lines closer than 0.1° are merged.

Structure:
a b c (Å): 4.237 4.255 8.376
angles (deg): 90.00 90.00 90.00
Sites, in units of the cell vectors:
Tm  0.000  0.000  0.247
Tm  0.000  0.000  0.753
Al  0.000  0.500  0.500
Al  0.500  0.500  0.253
Al  0.500  0.500  0.747
Ga  0.000  0.500  0.000
Ga  0.500  0.000  0.000
Ga  0.500  0.000  0.500

Most intense lines, 2θ = 10–90°, most intense first:
2θ 36.83, d = 2.440 Å, intensity 100, (1 1 2); 2θ 20.91, d = 4.249 Å, intensity 41, (0 1 0); 2θ 29.98, d = 2.981 Å, intensity 34, (1 0 2); 2θ 42.49, d = 2.128 Å, intensity 17, (0 2 0); 2θ 42.68, d = 2.119 Å, intensity 17, (2 0 0); 2θ 43.20, d = 2.094 Å, intensity 16, (0 0 4); 2θ 74.02, d = 1.281 Å, intensity 13, (1 3 2); 2θ 74.29, d = 1.277 Å, intensity 13, (3 1 2)